[1]
Starting from the PBE geometry in Alexandria, the XRD peak list of Pr3Hg5Pt2 was computed for CuKα.

Structure:
abc: 12.2291 13.1091 6.4421
angles: 90.00 90.00 90.00
Space group Ibam (No. 72)
Inequivalent atoms, fractional coordinates:
Pr (0.0000, 0.0000, 0.2500) [4 per cell]
Pr (0.1304, 0.2634, 0.0000) [8 per cell]
Hg (0.0000, 0.5000, 0.2500) [4 per cell]
Hg (0.1226, 0.3489, 0.5000) [8 per cell]
Hg (0.2459, 0.5000, 0.2500) [8 per cell]
Pt (0.1305, 0.1429, 0.5000) [8 per cell]

Top 10 peaks for 10° ≤ 2θ ≤ 80°, sorted by position:
Position (°2θ)  I/Imax  (hkl)
21.1  37  2 1 1
28.7  48  2 3 1
30.9  98  0 2 2
32.3  87  4 2 0
39.2  44  0 4 2
39.9  69  2 5 1
40.3  41  4 4 0
40.7  100  4 0 2
57.5  25  2 5 3
59.4  24  4 6 2

---

[2]
Starting from the PBE geometry in Alexandria, the XRD peak list of Sc2PIr was computed for CuKα.

Structure:
abc: 4.0596 3.5101 9.9426
angles: 90.00 90.00 90.00
Space group Amm2 (No. 38)
Inequivalent atoms, fractional coordinates:
Sc (0.0000, 0.0000, 0.0000) [2 per cell]
Sc (0.5000, 0.0000, 0.2849) [2 per cell]
P (0.0000, 0.0000, 0.7241) [2 per cell]
Ir (0.5000, 0.0000, 0.5582) [2 per cell]

Top 10 peaks for 10° ≤ 2θ ≤ 80°, sorted by position:
Position (°2θ)  I/Imax  (hkl)
17.8  67  0 0 2
21.9  38  1 0 0
26.9  46  0 1 1
28.4  27  1 0 2
35.0  100  1 1 1
36.1  25  0 0 4
37.3  26  0 1 3
42.7  33  1 0 4
43.7  70  1 1 3
52.9  26  0 1 5

---

[3]
Starting from the PBE geometry in Alexandria, the XRD peak list of Ac4Ru was computed for CuKα.

Structure:
abc: 8.2925 6.9037 8.2916
angles: 90.00 119.96 90.00
Space group P2_1/c (No. 14)
Inequivalent atoms, fractional coordinates:
Ac (0.1632, 0.2292, 0.3323) [4 per cell]
Ac (0.3318, 0.7504, 0.1658) [4 per cell]
Ru (0.5000, 0.0000, 0.5000) [2 per cell]

Top 10 peaks for 10° ≤ 2θ ≤ 80°, sorted by position:
Position (°2θ)  I/Imax  (hkl)
24.8  13  2 0 -2
25.8  20  0 2 0
28.0  100  2 1 0
36.1  26  2 2 -2
43.7  26  2 0 2
46.9  24  2 3 0
51.4  20  2 2 -4
52.7  18  4 1 -4
70.7  15  6 1 -2
71.1  11  2 4 2

---

[4]
Starting from the PBE geometry in Alexandria, the XRD peak list of TbDy7Tm3 was computed for CuKα.

Structure:
abc: 6.9109 5.4868 9.7981
angles: 90.00 110.04 90.00
Space group P2/m (No. 10)
Inequivalent atoms, fractional coordinates:
Tb (0.0000, 0.0000, 0.0000) [1 per cell]
Dy (0.0000, 0.0000, 0.5000) [1 per cell]
Dy (0.1470, 0.5000, 0.7910) [2 per cell]
Dy (0.3229, 0.5000, 0.1418) [2 per cell]
Dy (0.4208, 0.0000, 0.3312) [2 per cell]
Tm (0.2777, 0.5000, 0.4979) [2 per cell]
Tm (0.5000, 0.0000, 0.0000) [1 per cell]

Top 10 peaks for 10° ≤ 2θ ≤ 80°, sorted by position:
Position (°2θ)  I/Imax  (hkl)
31.9  26  1 1 2
32.1  100  2 1 0
32.2  85  2 1 -2
32.6  88  0 2 0
33.5  69  0 1 3
46.8  16  2 2 -3
57.9  19  2 3 0
59.1  17  2 1 4
63.7  18  4 2 -2
63.8  15  4 1 1

---

[5]
Starting from the PBE geometry in Alexandria, the XRD peak list of Ca2Ta2O6F was computed for CuKα.

Structure:
abc: 10.4028 10.4028 10.4028
angles: 90.00 90.00 90.00
Space group Fd-3m (No. 227, origin choice 2)
Inequivalent atoms, fractional coordinates:
Ca (0.0000, 0.0000, 0.0000) [16 per cell]
Ta (0.0000, 0.0000, 0.5000) [16 per cell]
O (0.0848, 0.3750, 0.8750) [48 per cell]
F (0.1250, 0.1250, 0.1250) [8 per cell]

Top 10 peaks for 10° ≤ 2θ ≤ 80°, sorted by position:
Position (°2θ)  I/Imax  (hkl)
14.7  51  1 1 1
28.5  41  3 1 1
29.8  100  2 2 2
34.5  29  4 0 0
45.3  13  3 3 3
49.6  50  4 4 0
52.0  12  5 3 1
58.9  43  6 2 2
61.8  9  4 4 4
69.4  11  7 3 1

---

[6]
Starting from the PBE geometry in Alexandria, the XRD peak list of SrInS was computed for CuKα.

Structure:
abc: 5.0673 5.0673 25.0227
angles: 90.00 90.00 120.00
Space group R-3m (No. 166, hexagonal axes)
Inequivalent atoms, fractional coordinates:
Sr (0.0000, 0.0000, 0.1006) [6 per cell]
In (0.0000, 0.0000, 0.3267) [6 per cell]
S (0.0000, 0.0000, 0.2193) [6 per cell]

Top 10 peaks for 10° ≤ 2θ ≤ 80°, sorted by position:
Position (°2θ)  I/Imax  (hkl)
10.6  46  0 0 3
21.5  34  0 1 2
24.8  35  1 0 4
27.0  69  0 1 5
32.2  35  0 0 9
35.4  100  1 1 0
45.1  17  2 0 5
48.6  69  1 1 9
63.6  17  3 0 0
73.1  18  3 0 9

---

[7]
Starting from the PBE geometry in Alexandria, the XRD peak list of Y4Ru was computed for CuKα.

Structure:
abc: 12.7452 13.0613 7.3190
angles: 90.00 90.00 90.00
Space group Fdd2 (No. 43)
Inequivalent atoms, fractional coordinates:
Y (0.1112, 0.3361, 0.0000) [16 per cell]
Y (0.1219, 0.3302, 0.4956) [16 per cell]
Ru (0.0000, 0.0000, 0.9809) [8 per cell]

Top 10 peaks for 10° ≤ 2θ ≤ 80°, sorted by position:
Position (°2θ)  I/Imax  (hkl)
15.5  28  1 1 1
28.0  26  4 0 0
30.8  53  2 4 0
31.3  100  2 2 2
39.5  24  4 4 0
40.0  41  4 2 2
48.7  31  0 6 2
49.8  14  0 0 4
51.7  22  6 2 2
59.7  16  2 4 4

---

[8]
Starting from the PBE geometry in Alexandria, the XRD peak list of La2PmGeN was computed for CuKα.

Structure:
abc: 3.8687 17.0593 7.6670
angles: 90.00 90.00 90.00
Space group Cmcm (No. 63)
Inequivalent atoms, fractional coordinates:
La (0.0000, 0.1438, 0.0315) [8 per cell]
Pm (0.0000, 0.4892, 0.2500) [4 per cell]
Ge (0.0000, 0.3104, 0.2500) [4 per cell]
N (0.0000, 0.0000, 0.0000) [4 per cell]

Top 10 peaks for 10° ≤ 2θ ≤ 80°, sorted by position:
Position (°2θ)  I/Imax  (hkl)
26.3  23  1 1 1
27.9  64  1 3 0
31.4  97  0 6 0
33.3  100  1 1 2
35.1  23  1 5 0
36.7  16  0 2 3
42.4  18  0 8 0
47.0  21  2 0 0
50.2  34  1 7 2
57.6  35  2 6 0

---

[9]
Starting from the PBE geometry in Alexandria, the XRD peak list of GaP was computed for CuKα.

Structure:
abc: 3.8783 3.8783 6.3895
angles: 90.00 90.00 120.00
Space group P6_3mc (No. 186)
Inequivalent atoms, fractional coordinates:
Ga (0.3333, 0.6667, 0.0000) [2 per cell]
P (0.3333, 0.6667, 0.3741) [2 per cell]

Top 10 peaks for 10° ≤ 2θ ≤ 80°, sorted by position:
Position (°2θ)  I/Imax  (hkl)
26.5  81  1 0 0
27.9  54  0 0 2
30.1  100  1 0 1
38.9  33  1 0 2
46.9  65  1 1 0
50.8  67  1 0 3
55.4  45  1 1 2
56.7  16  2 0 1
71.5  23  2 0 3
76.5  13  2 1 1

---

[10]
Starting from the PBE geometry in Alexandria, the XRD peak list of MnTe2PdN was computed for CuKα.

Structure:
abc: 5.2498 5.2498 3.4197
angles: 90.00 90.00 90.00
Space group P4/mmm (No. 123)
Inequivalent atoms, fractional coordinates:
Mn (0.0000, 0.0000, 0.0000) [1 per cell]
Te (0.0000, 0.5000, 0.0000) [2 per cell]
Pd (0.5000, 0.5000, 0.5000) [1 per cell]
N (0.0000, 0.0000, 0.5000) [1 per cell]

Top 10 peaks for 10° ≤ 2θ ≤ 80°, sorted by position:
Position (°2θ)  I/Imax  (hkl)
26.1  18  0 0 1
31.2  32  1 0 1
34.2  100  2 0 0
35.7  96  1 1 1
43.5  19  2 0 1
46.9  20  2 1 1
49.1  35  2 2 0
62.2  37  3 1 1
65.1  29  2 0 2
75.6  18  2 2 2

---

[11]
Starting from the PBE geometry in Alexandria, the XRD peak list of Pr2SmTmTe5 was computed for CuKα.

Structure:
abc: 5.4846 5.4846 11.6810
angles: 90.00 90.00 90.00
Space group P4/mmm (No. 123)
Inequivalent atoms, fractional coordinates:
Pr (0.0000, 0.0000, 0.1657) [2 per cell]
Sm (0.5000, 0.5000, 0.5000) [1 per cell]
Tm (0.5000, 0.5000, 0.0000) [1 per cell]
Te (0.0000, 0.0000, 0.5000) [1 per cell]
Te (0.0000, 0.5000, 0.0000) [2 per cell]
Te (0.5000, 0.5000, 0.2507) [2 per cell]

Top 10 peaks for 10° ≤ 2θ ≤ 80°, sorted by position:
Position (°2θ)  I/Imax  (hkl)
22.9  57  1 1 0
28.1  24  1 0 3
30.6  16  0 0 4
32.6  100  2 0 0
34.8  25  1 0 4
43.6  14  2 1 3
45.4  23  2 0 4
46.9  24  2 2 0
48.5  20  2 1 4
77.9  13  4 2 0

---

[12]
Starting from the PBE geometry in Alexandria, the XRD peak list of Nd6In3Pt was computed for CuKα.

Structure:
abc: 9.3649 12.0464 5.3687
angles: 90.00 90.00 90.00
Space group Pnnm (No. 58)
Inequivalent atoms, fractional coordinates:
Nd (0.0107, 0.2386, 0.0000) [4 per cell]
Nd (0.1579, 0.0824, 0.5000) [4 per cell]
Nd (0.1844, 0.4146, 0.5000) [4 per cell]
In (0.0000, 0.5000, 0.0000) [2 per cell]
In (0.1552, 0.7253, 0.5000) [4 per cell]
Pt (0.0000, 0.0000, 0.0000) [2 per cell]

Top 10 peaks for 10° ≤ 2θ ≤ 80°, sorted by position:
Position (°2θ)  I/Imax  (hkl)
29.3  100  1 3 1
33.2  98  3 0 1
33.4  51  0 0 2
35.5  53  2 4 0
45.0  18  2 3 2
45.1  16  0 6 0
49.5  24  2 4 2
57.0  12  4 3 2
57.2  20  1 3 3
59.5  20  3 0 3

---

[13]
Starting from the PBE geometry in Alexandria, the XRD peak list of Li3Mg2Cd8 was computed for CuKα.

Structure:
abc: 11.1147 10.0155 5.3053
angles: 90.00 109.66 90.00
Space group C2/m (No. 12)
Inequivalent atoms, fractional coordinates:
Li (0.0000, 0.0000, 0.0000) [2 per cell]
Li (0.0000, 0.2473, 0.5000) [4 per cell]
Mg (0.2094, 0.5000, 0.8859) [4 per cell]
Cd (0.0679, 0.5000, 0.3005) [4 per cell]
Cd (0.1423, 0.0000, 0.5297) [4 per cell]
Cd (0.1647, 0.2458, 0.1702) [8 per cell]

Top 10 peaks for 10° ≤ 2θ ≤ 80°, sorted by position:
Position (°2θ)  I/Imax  (hkl)
20.0  26  2 0 -1
24.6  24  2 2 0
25.2  66  0 2 1
28.6  41  2 0 1
35.2  30  1 1 -2
35.9  61  0 4 0
37.2  27  3 1 1
37.6  100  4 2 -1
38.7  45  2 2 -2
46.5  20  2 4 1

---

[14]
Starting from the PBE geometry in Alexandria, the XRD peak list of In2RuBr was computed for CuKα.

Structure:
abc: 3.7507 3.7507 7.8939
angles: 90.00 90.00 90.00
Space group P4mm (No. 99)
Inequivalent atoms, fractional coordinates:
In (0.0000, 0.0000, 0.0000) [1 per cell]
In (0.5000, 0.5000, 0.3535) [1 per cell]
Ru (0.0000, 0.0000, 0.3263) [1 per cell]
Br (0.5000, 0.5000, 0.7984) [1 per cell]

Top 10 peaks for 10° ≤ 2θ ≤ 80°, sorted by position:
Position (°2θ)  I/Imax  (hkl)
11.2  46  0 0 1
22.5  50  0 0 2
26.3  42  1 0 1
32.9  37  1 0 2
33.8  100  1 1 0
34.1  21  0 0 3
41.0  40  1 1 2
41.9  26  1 0 3
48.5  35  2 0 0
48.8  30  1 1 3